Entry 1:
# Sr2Pr3Te6
Theoretical powder diffraction line list, λ = 1.5418 Å (Cu Kα). Input: a structure optimized by DFT (GGA-PBE).
Peak positions follow from Bragg's law for the DFT cell and can differ from measured ones.

Most intense lines, 2θ from 15° to 90°, low angle first:
| 2theta | I (rel.) | hkl |
| --- | --- | --- |
| 27.3 | 100 | 1 3 1 |
| 38.6 | 39 | 2 0 2 |
| 39.5 | 37 | 0 6 0 |
| 47.1 | 7 | 0 0 4 |
| 48.7 | 20 | 4 0 0 |
| 56.4 | 13 | 2 6 2 |
| 63.1 | 18 | 3 3 3 |
| 64.5 | 17 | 4 6 0 |
| 69.1 | 8 | 1 3 5 |
| 71.1 | 13 | 5 3 1 |

Structural model:
Cell: 7.8975 13.6748 8.1576 Å, 90.00 108.81 90.00°
Space group C2/m (No. 12)
Unique sites:
Sr: 0.0000 0.1667 0.0000
Pr: 0.0000 0.0000 0.5000
Pr: 0.0000 0.3334 0.5000
Te: 0.2449 0.5000 0.7408
Te: 0.2478 0.1656 0.7404

***

Entry 2:
# TbYTlCo
Theoretical powder diffraction line list, λ = 1.5418 Å (Cu Kα). Input: a structure optimized by DFT (GGA-PBE).
Peak positions follow from Bragg's law for the DFT cell and can differ from measured ones.

Most intense lines, 2θ from 15° to 90°, low angle first:
| 2theta | I (rel.) | hkl |
| --- | --- | --- |
| 21.2 | 20 | 1 1 1 |
| 35.0 | 100 | 2 2 0 |
| 41.3 | 12 | 3 1 1 |
| 50.4 | 18 | 4 0 0 |
| 55.2 | 5 | 3 3 1 |
| 62.8 | 36 | 4 2 2 |
| 67.1 | 4 | 5 1 1 |
| 74.0 | 11 | 4 4 0 |
| 78.0 | 4 | 5 3 1 |
| 84.6 | 16 | 6 2 0 |

Structural model:
Cell: 7.2477 7.2477 7.2477 Å, 90.00 90.00 90.00°
Space group F-43m (No. 216)
Unique sites:
Tb: 0.0000 0.0000 0.0000
Y: 0.0000 0.0000 0.5000
Tl: 0.2500 0.2500 0.7500
Co: 0.2500 0.2500 0.2500

***

Entry 3:
# Sc2Pa2S7
Theoretical powder diffraction line list, λ = 1.5418 Å (Cu Kα). Input: a structure optimized by DFT (GGA-PBE).
Peak positions follow from Bragg's law for the DFT cell and can differ from measured ones.

Most intense lines, 2θ from 15° to 90°, low angle first:
| 2theta | I (rel.) | hkl |
| --- | --- | --- |
| 23.4 | 24 | 3 1 1 |
| 24.5 | 100 | 2 2 2 |
| 28.3 | 17 | 4 0 0 |
| 30.9 | 32 | 3 3 1 |
| 40.5 | 76 | 4 4 0 |
| 42.4 | 17 | 5 3 1 |
| 47.8 | 50 | 6 2 2 |
| 64.4 | 21 | 6 6 2 |
| 73.6 | 23 | 8 4 4 |
| 78.9 | 15 | 10 2 2 |

Structural model:
Cell: 12.6098 12.6098 12.6098 Å, 90.00 90.00 90.00°
Space group Fd-3m (No. 227, origin choice 2)
Unique sites:
Sc: 0.0000 0.0000 0.0000
Pa: 0.0000 0.0000 0.5000
S: 0.1024 0.3750 0.3750
S: 0.1250 0.1250 0.6250